[1]
Ba2Sr6Ti7MnO22: calculated X-ray powder pattern (Cu Kα X-rays), based on a structure optimized by DFT (PBE+U).
Peak positions follow from Bragg's law for the DFT cell and can differ from measured ones.

Largest 6 diffraction maxima, by intensity, 15° ≤ 2θ ≤ 90°:
| d_spacing | Position (°2θ) | Rel. int. | index |
| --- | --- | --- | --- |
| 2.805 | 31.91 | 100.0 | 2 2 2 |
| 2.001 | 45.31 | 36.0 | 4 4 0 |
| 2.297 | 39.22 | 28.0 | 4 0 2 |
| 2.835 | 31.56 | 22.5 | 0 4 0 |
| 2.826 | 31.66 | 22.4 | 4 0 0 |
| 1.402 | 66.69 | 20.0 | 4 4 4 |

Structure:
```
data_Ba2Sr6Ti7MnO22
_cell_length_a 11.3033
_cell_length_b 11.3403
_cell_length_c 7.8632
_cell_angle_alpha 90.00
_cell_angle_beta 90.00
_cell_angle_gamma 90.00
_symmetry_space_group_name_H-M 'C m m 2'
_symmetry_Int_Tables_number 35
loop_
_symmetry_equiv_pos_as_xyz
'x,y,z'
'-x,-y,z'
'-x,y,z'
'x,-y,z'
'x+1/2,y+1/2,z'
'-x+1/2,-y+1/2,z'
'-x+1/2,y+1/2,z'
'x+1/2,-y+1/2,z'
loop_
_atom_site_label
_atom_site_fract_x
_atom_site_fract_y
_atom_site_fract_z
Ba1 0.2488 0.0000 0.0000
Sr1 0.0000 0.2424 0.0015
Sr2 0.0000 0.2437 0.4931
Sr3 0.2432 0.0000 0.4931
Ti1 0.0000 0.0000 0.2492
Ti2 0.0000 0.0000 0.7450
Ti3 0.0000 0.5000 0.7383
Ti4 0.2500 0.2500 0.2501
Ti5 0.2500 0.2500 0.7441
Mn1 0.0000 0.5000 0.2572
O1 0.0000 0.0000 0.4979
O2 0.0000 0.0000 0.9967
O3 0.1211 0.3772 0.7402
O4 0.1229 0.1246 0.2515
O5 0.1238 0.1257 0.7431
O6 0.1281 0.3695 0.2534
O7 0.2500 0.2500 0.5013
O8 0.2500 0.2500 0.9929
```


[2]
V3O5F: calculated X-ray powder pattern (Cu Kα X-rays), based on a structure optimized by DFT (PBE+U).
Peak positions follow from Bragg's law for the DFT cell and can differ from measured ones.

Largest 6 diffraction maxima, by intensity, 15° ≤ 2θ ≤ 90°:
| d_spacing | Position (°2θ) | Rel. int. | index |
| --- | --- | --- | --- |
| 3.218 | 27.72 | 100.0 | 0 2 0 |
| 3.365 | 26.49 | 95.1 | 2 0 0 |
| 1.688 | 54.34 | 55.4 | 1 3 -3 |
| 2.522 | 35.60 | 48.1 | 1 1 -3 |
| 2.515 | 35.70 | 44.5 | 1 1 3 |
| 1.733 | 52.83 | 26.7 | 3 1 -3 |

Structure:
```
data_V3O5F
_cell_length_a 6.7296
_cell_length_b 6.4361
_cell_length_c 8.9858
_cell_angle_alpha 90.00
_cell_angle_beta 90.25
_cell_angle_gamma 90.00
_symmetry_space_group_name_H-M 'C 1 2/m 1'
_symmetry_Int_Tables_number 12
loop_
_symmetry_equiv_pos_as_xyz
'x,y,z'
'-x,-y,-z'
'-x,y,-z'
'x,-y,z'
'x+1/2,y+1/2,z'
'-x+1/2,-y+1/2,-z'
'-x+1/2,y+1/2,-z'
'x+1/2,-y+1/2,z'
loop_
_atom_site_label
_atom_site_fract_x
_atom_site_fract_y
_atom_site_fract_z
V1 0.0000 0.0000 0.0000
V2 0.0000 0.5000 0.5000
V3 0.0095 0.0000 0.3489
V4 0.0399 0.5000 0.8328
O1 0.0000 0.3077 0.0000
O2 0.0035 0.3041 0.6665
O3 0.1939 0.0000 0.1718
O4 0.2055 0.0000 0.4976
F1 0.1987 0.0000 0.8277
```


[3]
Co6OF11: calculated X-ray powder pattern (Cu Kα X-rays), based on a structure optimized by DFT (PBE+U).
Peak positions follow from Bragg's law for the DFT cell and can differ from measured ones.

Largest 6 diffraction maxima, by intensity, 15° ≤ 2θ ≤ 90°:
| d_spacing | Position (°2θ) | Rel. int. | index |
| --- | --- | --- | --- |
| 3.395 | 26.25 | 100.0 | 0 2 0 |
| 3.337 | 26.72 | 96.3 | 2 0 -2 |
| 2.646 | 33.88 | 56.2 | 1 1 2 |
| 2.634 | 34.04 | 53.3 | 3 1 0 |
| 1.778 | 51.39 | 34.0 | 1 3 2 |
| 1.774 | 51.51 | 32.9 | 3 3 0 |

Structure:
```
data_Co6OF11
_cell_length_a 9.1769
_cell_length_b 6.7901
_cell_length_c 7.4096
_cell_angle_alpha 90.00
_cell_angle_beta 110.91
_cell_angle_gamma 90.00
_symmetry_space_group_name_H-M 'C 1 m 1'
_symmetry_Int_Tables_number 8
loop_
_symmetry_equiv_pos_as_xyz
'x,y,z'
'x,-y,z'
'x+1/2,y+1/2,z'
'x+1/2,-y+1/2,z'
loop_
_atom_site_label
_atom_site_fract_x
_atom_site_fract_y
_atom_site_fract_z
Co1 0.0000 0.0000 0.0000
Co2 0.0049 0.0000 0.4786
Co3 0.1736 0.5000 0.6558
Co4 0.1891 0.5000 0.1522
Co5 0.3380 0.0000 0.8245
Co6 0.3427 0.0000 0.3200
O1 0.3992 0.5000 0.1835
F1 0.0062 0.3031 0.4906
F2 0.0751 0.5000 0.8613
F3 0.1027 0.0000 0.7871
F4 0.1741 0.1933 0.1515
F5 0.2387 0.0000 0.5243
F6 0.2694 0.5000 0.4494
F7 0.3413 0.3012 0.8205
F8 0.4552 0.0000 0.1243
```